Pm2ScP3: theoretical powder diffraction line list (Cu Kα (weighted mean of Kα1 and Kα2)), based on a DFT-relaxed cell (GGA-PBE, Alexandria).
Kinematic intensities with the Lorentz-polarization factor, no thermal factor.

Atomic structure:
abc: 8.9567 8.9567 8.9567
angles: 153.95 153.95 37.17
Fractional coordinates of all 6 atoms:
Pm1 0.1651 0.1651 0.0000
Pm2 0.8349 0.8349 0.0000
Sc1 0.5000 0.5000 0.0000
P1 0.0000 0.0000 0.0000
P2 0.3399 0.3399 0.0000
P3 0.6601 0.6601 0.0000

Principal peaks in the range 5° ≤ 2θ ≤ 70°, sorted by position:
| 2theta | d/Å | intensity |
| --- | --- | --- |
| 10.42 | 8.490 | 27 |
| 22.64 | 3.927 | 25 |
| 27.13 | 3.286 | 92 |
| 31.34 | 2.854 | 100 |
| 31.62 | 2.830 | 48 |
| 44.91 | 2.018 | 36 |
| 45.12 | 2.010 | 70 |
| 53.26 | 1.720 | 30 |
| 53.62 | 1.709 | 15 |
| 55.96 | 1.643 | 37 |

PmScP: theoretical powder diffraction line list (Cu Kα (weighted mean of Kα1 and Kα2)), based on a DFT-relaxed cell (GGA-PBE, Alexandria).
Kinematic intensities with the Lorentz-polarization factor, no thermal factor.

Atomic structure:
abc: 6.2751 6.6550 9.0977
angles: 90.00 124.63 90.00
Fractional coordinates of all 12 atoms:
Pm1 0.1435 0.0911 0.3841
Pm2 0.1435 0.4089 0.8841
Pm3 0.8565 0.5911 0.1159
Pm4 0.8565 0.9089 0.6159
Sc1 0.3580 0.5711 0.6125
Sc2 0.3580 0.9289 0.1125
Sc3 0.6420 0.0711 0.8875
Sc4 0.6420 0.4289 0.3875
P1 0.3677 0.7347 0.3587
P2 0.3677 0.7653 0.8587
P3 0.6323 0.2347 0.1413
P4 0.6323 0.2653 0.6413

Principal peaks in the range 5° ≤ 2θ ≤ 70°, sorted by position:
| 2theta | d/Å | intensity |
| --- | --- | --- |
| 17.83 | 4.974 | 43 |
| 19.87 | 4.469 | 42 |
| 23.99 | 3.710 | 29 |
| 28.76 | 3.104 | 51 |
| 29.26 | 3.052 | 100 |
| 30.48 | 2.933 | 98 |
| 32.59 | 2.747 | 78 |
| 37.36 | 2.407 | 32 |
| 39.71 | 2.270 | 23 |
| 47.65 | 1.908 | 45 |

TbPmSc2P4: theoretical powder diffraction line list (Cu Kα (weighted mean of Kα1 and Kα2)), based on a DFT-relaxed cell (GGA-PBE, Alexandria).
Kinematic intensities with the Lorentz-polarization factor, no thermal factor.

Atomic structure:
abc: 6.7729 3.9297 6.8023
angles: 90.00 109.57 90.00
Fractional coordinates of all 8 atoms:
Tb1 0.0000 0.0000 0.0000
Pm1 0.0000 0.5000 0.5000
Sc1 0.5000 0.0000 0.5000
Sc2 0.5000 0.5000 0.0000
P1 0.2686 0.5000 0.2532
P2 0.2709 0.0000 0.7600
P3 0.7291 0.0000 0.2400
P4 0.7314 0.5000 0.7468

Principal peaks in the range 5° ≤ 2θ ≤ 70°, sorted by position:
| 2theta | d/Å | intensity |
| --- | --- | --- |
| 13.88 | 6.382 | 34 |
| 26.61 | 3.350 | 29 |
| 27.83 | 3.206 | 40 |
| 27.96 | 3.191 | 13 |
| 32.28 | 2.773 | 100 |
| 35.29 | 2.543 | 17 |
| 46.22 | 1.964 | 36 |
| 46.39 | 1.957 | 34 |
| 54.86 | 1.673 | 19 |
| 57.50 | 1.603 | 18 |

- Number 3 is which compound?
  TbPmSc2P4